The following is a calculated PXRD pattern of TbTeAuO. It was derived from a structure optimized by DFT (PBE), using Cu Kα.
No peak broadening, texture or thermal motion is included.

Peak list (6 most intense, 2θ = 15–90°, sorted by position)
2θ = 28.0°, 3.188 Å, intensity 94, (2 1 1)
2θ = 31.2°, 2.868 Å, intensity 100, (0 0 2)
2θ = 32.5°, 2.755 Å, intensity 68, (1 2 0)
2θ = 34.2°, 2.625 Å, intensity 93, (3 1 1)
2θ = 35.9°, 2.503 Å, intensity 62, (2 2 0)
2θ = 45.7°, 1.987 Å, intensity 66, (1 2 2)

Cell and atoms:
Lattice parameters (Å, degrees): 10.3426 5.7175 5.7366 90.00 90.00 90.00
Space group Aem2 (No. 39)
Inequivalent atoms, fractional coordinates:
1 Tb 0.1044 0.2500 0.0000
2 Te 0.2782 0.2500 0.5009
3 Au 0.5000 0.0000 0.0009
4 O 0.0000 0.0000 0.2499